The following is a computed PXRD pattern of RbCu6Se4. It was derived from a structure optimized by DFT (PBE), using CuKα.

Main lines, in order of rising 2θ (10 to 80 degrees two-theta):
Position (°2θ)	I/Imax
27.84	100
31.73	22
33.99	13
41.96	72
44.33	66
47.20	47
53.05	15
53.16	32
64.50	20
79.97	20

Cell and atoms:
```
RbCu6Se4
1.0
-2.0433 2.0433 12.9149
2.0433 -2.0433 12.9149
2.0433 2.0433 -12.9149
Rb Cu Se
1 6 4
direct
0.0000 0.0000 0.0000 Rb
0.1315 0.6315 0.5000 Cu
0.2500 0.7500 0.5000 Cu
0.3685 0.8685 0.5000 Cu
0.6315 0.1315 0.5000 Cu
0.7500 0.2500 0.5000 Cu
0.8685 0.3685 0.5000 Cu
0.1940 0.1940 0.0000 Se
0.4190 0.4190 0.0000 Se
0.5810 0.5810 0.0000 Se
0.8060 0.8060 0.0000 Se
```

---

The following is a computed PXRD pattern of Tl2I2Cl. It was derived from a structure optimized by DFT (PBE), using CuKα.

Main lines, in order of rising 2θ (10 to 80 degrees two-theta):
Position (°2θ)	I/Imax
17.91	90
23.94	38
24.23	52
26.74	83
27.08	60
27.52	100
29.44	53
32.15	59
33.57	48
33.98	51

Cell and atoms:
```
Tl2I2Cl
1.0
4.4642 0.0000 0.0000
0.2431 4.4584 0.0000
0.2424 0.2658 19.8156
Tl I Cl
4 4 2
direct
0.1499 0.3506 0.1420 Tl
0.3488 0.1508 0.6414 Tl
0.6512 0.8492 0.3586 Tl
0.8501 0.6494 0.8580 Tl
0.1851 0.3399 0.4339 I
0.3418 0.1846 0.9338 I
0.6582 0.8154 0.0662 I
0.8149 0.6601 0.5661 I
0.1414 0.8588 0.2501 Cl
0.8586 0.1412 0.7499 Cl
```

---

The following is a computed PXRD pattern of RbSNO4. It was derived from a structure optimized by DFT (PBE), using CuKα.

Main lines, in order of rising 2θ (10 to 80 degrees two-theta):
Position (°2θ)	I/Imax
14.18	43
15.75	82
23.84	51
25.64	100
27.84	18
28.33	42
28.70	36
35.29	63
37.36	24
58.61	18

Cell and atoms:
```
RbSNO4
1.0
7.4644 0.0000 0.0000
0.0000 6.3004 0.0000
0.0000 0.0000 12.4938
Rb S N O
4 4 4 16
direct
0.2442 0.2500 0.0867 Rb
0.2558 0.7500 0.5867 Rb
0.7442 0.2500 0.4133 Rb
0.7558 0.7500 0.9133 Rb
0.2421 0.2500 0.4141 S
0.2579 0.7500 0.9141 S
0.7421 0.2500 0.0859 S
0.7579 0.7500 0.5859 S
0.1080 0.7500 0.2396 N
0.3920 0.2500 0.7396 N
0.6080 0.7500 0.2604 N
0.8920 0.2500 0.7604 N
0.1270 0.2500 0.5107 O
0.1305 0.2500 0.3149 O
0.1435 0.5564 0.9123 O
0.1435 0.9436 0.9123 O
0.3565 0.0564 0.4123 O
0.3565 0.4436 0.4123 O
0.3695 0.7500 0.8149 O
0.3730 0.7500 0.0107 O
0.6270 0.2500 0.9893 O
0.6305 0.2500 0.1851 O
0.6435 0.5564 0.5877 O
0.6435 0.9436 0.5877 O
0.8565 0.0564 0.0877 O
0.8565 0.4436 0.0877 O
0.8695 0.7500 0.6851 O
0.8730 0.7500 0.4893 O
```

---

What did the first record say?
The following is a computed PXRD pattern of RbCu6Se4. It was derived from a structure optimized by DFT (PBE), using CuKα.

Main lines, in order of rising 2θ (10 to 80 degrees two-theta):
Position (°2θ)	I/Imax
27.84	100
31.73	22
33.99	13
41.96	72
44.33	66
47.20	47
53.05	15
53.16	32
64.50	20
79.97	20

Cell and atoms:
```
RbCu6Se4
1.0
-2.0433 2.0433 12.9149
2.0433 -2.0433 12.9149
2.0433 2.0433 -12.9149
Rb Cu Se
1 6 4
direct
0.0000 0.0000 0.0000 Rb
0.1315 0.6315 0.5000 Cu
0.2500 0.7500 0.5000 Cu
0.3685 0.8685 0.5000 Cu
0.6315 0.1315 0.5000 Cu
0.7500 0.2500 0.5000 Cu
0.8685 0.3685 0.5000 Cu
0.1940 0.1940 0.0000 Se
0.4190 0.4190 0.0000 Se
0.5810 0.5810 0.0000 Se
0.8060 0.8060 0.0000 Se
```